No. 1
# Nd2TmSb2
Theoretical powder X-ray diffraction pattern, λ = 1.5418 Å (Cu Kα). Input: a crystal structure in Alexandria, relaxed with GGA-PBE.
Intensities are scaled so that the largest is 100.

Structural model:
```
Nd2TmSb2
1.0
-4.247 5.994 3.189
4.247 -5.994 3.189
4.247 5.994 -3.189
Nd Tm Sb
4 2 4
Direct
0.151 0.144 0.295
0.349 0.644 0.993
0.651 0.356 0.007
0.849 0.856 0.705
0.250 0.750 0.500
0.750 0.250 0.500
0.107 0.775 0.882
0.393 0.275 0.668
0.607 0.725 0.332
0.893 0.225 0.118
```

Top 6 peaks for 10° ≤ 2θ ≤ 90°, most intense first:
2θ = 24.62°, I 100; 2θ = 30.86°, I 81; 2θ = 41.34°, I 76; 2θ = 35.19°, I 68; 2θ = 32.50°, I 64; 2θ = 48.67°, I 60

---

No. 2
# Pm4SiAuBr2
Theoretical powder X-ray diffraction pattern, λ = 1.5418 Å (Cu Kα). Input: a crystal structure in Alexandria, relaxed with GGA-PBE.
Intensities are scaled so that the largest is 100.

Structural model:
```
Pm4SiAuBr2
1.0
7.483 0.000 0.000
0.000 4.195 0.000
-2.347 0.000 7.228
Pm Si Au Br
4 1 1 2
Direct
0.220 0.000 0.243
0.221 0.500 0.731
0.779 0.500 0.269
0.780 0.000 0.757
0.000 0.000 0.500
0.000 0.500 0.000
0.500 0.000 0.000
0.500 0.500 0.500
```

Top 6 peaks for 10° ≤ 2θ ≤ 90°, most intense first:
2θ = 29.30°, I 100; 2θ = 41.67°, I 26; 2θ = 42.15°, I 22; 2θ = 52.98°, I 13; 2θ = 43.13°, I 13; 2θ = 40.71°, I 12

---

No. 3
# Rb2TlAgBr6
Theoretical powder X-ray diffraction pattern, λ = 1.5418 Å (Cu Kα). Input: a crystal structure in Alexandria, relaxed with GGA-PBE.
Intensities are scaled so that the largest is 100.

Structural model:
```
Rb2TlAgBr6
1.0
7.635 0.000 0.000
0.000 8.042 0.000
-7.536 0.000 11.277
Rb Tl Ag Br
4 2 2 12
Direct
0.229 0.066 0.251
0.229 0.434 0.751
0.771 0.566 0.249
0.771 0.934 0.749
0.500 0.000 0.000
0.500 0.500 0.500
0.000 0.000 0.500
0.000 0.500 0.000
0.171 0.199 0.968
0.171 0.301 0.468
0.261 0.695 0.971
0.261 0.805 0.471
0.314 0.502 0.254
0.314 0.998 0.754
0.686 0.002 0.246
0.686 0.498 0.746
0.739 0.195 0.529
0.739 0.305 0.029
0.829 0.699 0.532
0.829 0.801 0.032
```

Top 6 peaks for 10° ≤ 2θ ≤ 90°, most intense first:
2θ = 32.34°, I 100; 2θ = 16.01°, I 72; 2θ = 31.74°, I 70; 2θ = 15.72°, I 38; 2θ = 35.49°, I 37; 2θ = 22.43°, I 36

---

No. 4
# Sc2NiPtC
Theoretical powder X-ray diffraction pattern, λ = 1.5418 Å (Cu Kα). Input: a crystal structure in Alexandria, relaxed with GGA-PBE.
Intensities are scaled so that the largest is 100.

Structural model:
```
Sc2NiPtC
1.0
4.568 0.000 0.000
0.000 4.568 0.000
0.000 0.000 3.625
Sc Ni Pt C
2 1 1 1
Direct
0.000 0.500 0.000
0.500 0.000 0.000
0.000 0.000 0.500
0.500 0.500 0.500
0.000 0.000 0.000
```

Top 6 peaks for 10° ≤ 2θ ≤ 90°, most intense first:
2θ = 37.29°, I 100; 2θ = 39.46°, I 48; 2θ = 27.62°, I 31; 2θ = 70.13°, I 30; 2θ = 19.43°, I 28; 2θ = 31.51°, I 26

---

No. 5
# Ac2ErTe2N2
Theoretical powder X-ray diffraction pattern, λ = 1.5418 Å (Cu Kα). Input: a crystal structure in Alexandria, relaxed with GGA-PBE.
Intensities are scaled so that the largest is 100.

Structural model:
```
Ac2ErTe2N2
1.0
-2.267 2.267 8.547
2.267 -2.267 8.547
2.267 2.267 -8.547
Ac Er Te N
2 1 2 2
Direct
0.104 0.104 0.000
0.896 0.896 0.000
0.500 0.500 0.000
0.318 0.318 0.000
0.682 0.682 0.000
0.000 0.500 0.500
0.500 0.000 0.500
```

Top 6 peaks for 10° ≤ 2θ ≤ 90°, most intense first:
2θ = 32.81°, I 100; 2θ = 27.82°, I 79; 2θ = 52.46°, I 54; 2θ = 39.75°, I 35; 2θ = 81.55°, I 15; 2θ = 65.04°, I 15

---

No. 6
# CaMnCoP2
Theoretical powder X-ray diffraction pattern, λ = 1.5418 Å (Cu Kα). Input: a crystal structure in Alexandria, relaxed with GGA-PBE.
Intensities are scaled so that the largest is 100.

Structural model:
```
CaMnCoP2
1.0
-1.917 1.917 5.035
1.917 -1.917 5.035
1.917 1.917 -5.035
Ca Mn Co P
1 1 1 2
Direct
0.000 0.000 0.000
0.250 0.750 0.500
0.750 0.250 0.500
0.360 0.360 0.000
0.640 0.640 0.000
```

Top 6 peaks for 10° ≤ 2θ ≤ 90°, most intense first:
2θ = 37.68°, I 100; 2θ = 17.62°, I 61; 2θ = 47.42°, I 54; 2θ = 35.55°, I 49; 2θ = 49.40°, I 35; 2θ = 65.40°, I 29

---

No. 7
# Zr2UFe
Theoretical powder X-ray diffraction pattern, λ = 1.5418 Å (Cu Kα). Input: a crystal structure in Alexandria, relaxed with GGA-PBE.
Intensities are scaled so that the largest is 100.

Structural model:
```
Zr2UFe
1.0
3.123 0.000 0.000
0.000 3.123 0.000
0.000 0.000 8.015
Zr U Fe
2 1 1
Direct
0.000 0.000 0.201
0.000 0.000 0.799
0.500 0.500 0.500
0.500 0.500 0.000
```

Top 6 peaks for 10° ≤ 2θ ≤ 90°, most intense first:
2θ = 36.47°, I 100; 2θ = 40.86°, I 42; 2θ = 30.72°, I 41; 2θ = 71.53°, I 28; 2θ = 11.04°, I 23; 2θ = 53.86°, I 18

---

No. 8
# Pm4TlGe3
Theoretical powder X-ray diffraction pattern, λ = 1.5418 Å (Cu Kα). Input: a crystal structure in Alexandria, relaxed with GGA-PBE.
Intensities are scaled so that the largest is 100.

Structural model:
```
Pm4TlGe3
1.0
4.160 0.000 0.000
0.000 4.494 0.000
0.000 0.000 11.281
Pm Tl Ge
4 1 3
Direct
0.000 0.000 0.000
0.000 0.500 0.485
0.500 0.000 0.709
0.500 0.500 0.219
0.000 0.500 0.775
0.000 0.000 0.273
0.500 0.000 0.435
0.500 0.500 0.948
```

Top 6 peaks for 10° ≤ 2θ ≤ 90°, most intense first:
2θ = 30.33°, I 100; 2θ = 37.96°, I 62; 2θ = 31.01°, I 29; 2θ = 31.73°, I 28; 2θ = 40.13°, I 27; 2θ = 43.50°, I 21

---

No. 9
# BiSb2Br6
Theoretical powder X-ray diffraction pattern, λ = 1.5418 Å (Cu Kα). Input: a crystal structure in Alexandria, relaxed with GGA-PBE.
Intensities are scaled so that the largest is 100.

Structural model:
```
BiSb2Br6
1.0
4.114 2.375 6.461
-4.114 2.375 6.461
0.000 -4.750 6.461
Bi Sb Br
1 2 6
Direct
0.000 0.000 0.000
0.589 0.589 0.589
0.740 0.740 0.740
0.073 0.769 0.388
0.222 0.626 0.905
0.388 0.073 0.769
0.626 0.905 0.222
0.769 0.388 0.073
0.905 0.222 0.626
```

Top 6 peaks for 10° ≤ 2θ ≤ 90°, most intense first:
2θ = 25.67°, I 100; 2θ = 37.88°, I 64; 2θ = 13.24°, I 63; 2θ = 15.43°, I 32; 2θ = 13.71°, I 24; 2θ = 26.17°, I 18

---

No. 10
# Na2PmAuO4
Theoretical powder X-ray diffraction pattern, λ = 1.5418 Å (Cu Kα). Input: a crystal structure in Alexandria, relaxed with GGA-PBE.
Intensities are scaled so that the largest is 100.

Structural model:
```
Na2PmAuO4
1.0
-2.974 2.974 3.256
2.974 -2.974 3.256
2.974 2.974 -3.256
Na Pm Au O
2 1 1 4
Direct
0.000 0.000 0.000
0.750 0.250 0.500
0.500 0.500 0.000
0.250 0.750 0.500
0.069 0.042 0.591
0.451 0.478 0.409
0.522 0.931 0.973
0.958 0.549 0.027
```

Top 6 peaks for 10° ≤ 2θ ≤ 90°, most intense first:
2θ = 20.22°, I 100; 2θ = 34.85°, I 84; 2θ = 56.50°, I 52; 2θ = 30.05°, I 46; 2θ = 36.49°, I 43; 2θ = 43.01°, I 29

---

No. 11
# CePr12Ho5
Theoretical powder X-ray diffraction pattern, λ = 1.5418 Å (Cu Kα). Input: a crystal structure in Alexandria, relaxed with GGA-PBE.
Intensities are scaled so that the largest is 100.

Structural model:
```
CePr12Ho5
1.0
7.743 -7.758 0.000
7.743 7.758 0.000
0.000 0.000 5.178
Ce Pr Ho
1 12 5
Direct
0.000 0.000 0.000
0.002 0.670 0.000
0.163 0.163 0.500
0.169 0.502 0.500
0.330 0.998 0.000
0.336 0.336 0.000
0.498 0.831 0.500
0.502 0.169 0.500
0.664 0.664 0.000
0.670 0.002 0.000
0.831 0.498 0.500
0.837 0.837 0.500
0.998 0.330 0.000
0.166 0.834 0.500
0.333 0.667 0.000
0.500 0.500 0.500
0.667 0.333 0.000
0.834 0.166 0.500
```

Top 6 peaks for 10° ≤ 2θ ≤ 90°, most intense first:
2θ = 29.93°, I 100; 2θ = 49.88°, I 36; 2θ = 34.67°, I 34; 2θ = 59.23°, I 29; 2θ = 34.76°, I 17; 2θ = 59.35°, I 14

---

No. 12
# K2PmBr6
Theoretical powder X-ray diffraction pattern, λ = 1.5418 Å (Cu Kα). Input: a crystal structure in Alexandria, relaxed with GGA-PBE.
Intensities are scaled so that the largest is 100.

Structural model:
```
K2PmBr6
1.0
4.585 0.000 0.000
0.000 7.455 4.283
0.000 -7.455 4.283
K Pm Br
2 1 6
Direct
0.000 0.167 0.833
0.000 0.833 0.167
0.500 0.503 0.503
0.000 0.262 0.500
0.000 0.500 0.262
0.000 0.742 0.742
0.500 0.144 0.144
0.500 0.500 0.859
0.500 0.859 0.500
```

Top 6 peaks for 10° ≤ 2θ ≤ 90°, most intense first:
2θ = 28.48°, I 100; 2θ = 11.90°, I 90; 2θ = 30.96°, I 61; 2θ = 37.50°, I 46; 2θ = 36.28°, I 34; 2θ = 54.52°, I 30

---

No. 13
# ZrB2S4
Theoretical powder X-ray diffraction pattern, λ = 1.5418 Å (Cu Kα). Input: a crystal structure in Alexandria, relaxed with GGA-PBE.
Intensities are scaled so that the largest is 100.

Structural model:
```
ZrB2S4
1.0
-3.487 3.487 2.601
3.487 -3.487 2.601
3.487 3.487 -2.601
Zr B S
1 2 4
Direct
0.000 0.000 0.000
0.250 0.750 0.500
0.750 0.250 0.500
0.144 0.353 0.498
0.353 0.856 0.209
0.647 0.144 0.791
0.856 0.647 0.502
```

Top 6 peaks for 10° ≤ 2θ ≤ 90°, most intense first:
2θ = 33.50°, I 100; 2θ = 21.31°, I 76; 2θ = 54.55°, I 45; 2θ = 40.92°, I 34; 2θ = 34.48°, I 27; 2θ = 50.33°, I 18

---

No. 14
# CsReAg2Cl8
Theoretical powder X-ray diffraction pattern, λ = 1.5418 Å (Cu Kα). Input: a crystal structure in Alexandria, relaxed with GGA-PBE.
Intensities are scaled so that the largest is 100.

Structural model:
```
CsReAg2Cl8
1.0
6.350 0.000 0.000
0.353 7.218 0.000
0.971 2.110 8.482
Cs Re Ag Cl
1 1 2 8
Direct
0.000 0.000 0.000
0.000 0.500 0.500
0.495 0.486 0.194
0.505 0.514 0.806
0.079 0.514 0.753
0.171 0.788 0.392
0.319 0.329 0.466
0.483 0.228 0.036
0.517 0.772 0.964
0.681 0.671 0.534
0.829 0.212 0.608
0.921 0.486 0.247
```

Top 6 peaks for 10° ≤ 2θ ≤ 90°, most intense first:
2θ = 12.64°, I 100; 2θ = 21.02°, I 59; 2θ = 19.13°, I 48; 2θ = 14.32°, I 38; 2θ = 28.29°, I 36; 2θ = 18.30°, I 35